Calculated powder X-ray diffraction pattern
Compound: Pm2PrNd9
Radiation: Cu Ka
Structure: a DFT-relaxed cell (PBE, Alexandria)
Neutral-atom scattering factors, no anomalous dispersion.

Atomic structure:
a b c (Å): 11.6296 11.6296 3.6011
angles (deg): 90.00 90.00 120.00
Fractional coordinates of all 12 atoms:
Pm 0.3333 0.6667 0.0000
Pm 0.6667 0.3333 0.0000
Pr 0.0000 0.0000 0.0000
Nd 0.0000 0.5000 0.0000
Nd 0.1743 0.3487 0.5000
Nd 0.1743 0.8257 0.5000
Nd 0.3487 0.1743 0.5000
Nd 0.5000 0.0000 0.0000
Nd 0.5000 0.5000 0.0000
Nd 0.6513 0.8257 0.5000
Nd 0.8257 0.1743 0.5000
Nd 0.8257 0.6513 0.5000

The 10 most intense peaks (2θ = 10–80°), low angle first:
Position (°2θ), I/Imax
29.17, 26
30.52, 51
30.75, 100
34.28, 15
36.59, 15
43.88, 18
54.53, 19
54.68, 19
60.48, 29
77.79, 13

***

Calculated powder X-ray diffraction pattern
Compound: Tb3Tm2Hg2
Radiation: Cu Ka
Structure: a DFT-relaxed cell (PBE, Alexandria)
Neutral-atom scattering factors, no anomalous dispersion.

Atomic structure:
a b c (Å): 8.4628 8.4628 8.4628
angles (deg): 36.69 36.69 36.69
Fractional coordinates of all 7 atoms:
Tb 0.0000 0.0000 0.0000
Tb 0.1580 0.1580 0.1580
Tb 0.8420 0.8420 0.8420
Tm 0.4255 0.4255 0.4255
Tm 0.5745 0.5745 0.5745
Hg 0.2873 0.2873 0.2873
Hg 0.7127 0.7127 0.7127

The 10 most intense peaks (2θ = 10–80°), low angle first:
Position (°2θ), I/Imax
32.86, 94
33.65, 100
47.74, 34
48.67, 5
58.16, 16
59.67, 35
60.18, 19
68.89, 8
70.74, 13
78.90, 12

***

Calculated powder X-ray diffraction pattern
Compound: In4PdI2
Radiation: Cu Ka
Structure: a DFT-relaxed cell (PBE, Alexandria)
Neutral-atom scattering factors, no anomalous dispersion.

Atomic structure:
a b c (Å): 5.2797 5.2797 17.7552
angles (deg): 90.00 90.00 90.00
Fractional coordinates of all 14 atoms:
In 0.0000 0.0000 0.1531
In 0.0000 0.0000 0.8469
In 0.0000 0.5000 0.0000
In 0.0000 0.5000 0.5000
In 0.5000 0.0000 0.0000
In 0.5000 0.0000 0.5000
In 0.5000 0.5000 0.3469
In 0.5000 0.5000 0.6531
Pd 0.0000 0.0000 0.0000
Pd 0.5000 0.5000 0.5000
I 0.0000 0.0000 0.3458
I 0.0000 0.0000 0.6542
I 0.5000 0.5000 0.1542
I 0.5000 0.5000 0.8458

The 10 most intense peaks (2θ = 10–80°), low angle first:
Position (°2θ), I/Imax
23.83, 47
25.89, 52
30.20, 59
31.31, 87
33.96, 100
46.08, 75
48.79, 35
57.48, 22
58.46, 36
59.12, 27